Diffraction record for Cs3MnF4. The powder XRD pattern is calculated, not measured: it uses a PBE+U-relaxed structure and Cu Kα (λ = 1.5418 Å).
No peak broadening, texture or thermal motion is included.

Atomic structure:
```
data_Cs3MnF4
_chemical_formula_sum 'Cs6 Mn2 F8'
_space_group_name_H-M_alt 'I -4 2 m'
_space_group_IT_number 121
_space_group_name_Hall 'I -4 2'
_cell_length_a 7.0503
_cell_length_b 7.0503
_cell_length_c 8.4046
_cell_angle_alpha 90.00
_cell_angle_beta 90.00
_cell_angle_gamma 90.00
loop_
_atom_site_label
_atom_site_type_symbol
_atom_site_fract_x
_atom_site_fract_y
_atom_site_fract_z
_atom_site_occupancy
Cs1 Cs 0.0000 0.0000 0.0000 1
Cs2 Cs 0.0000 0.5000 0.2500 1
Mn1 Mn 0.0000 0.0000 0.5000 1
F1 F 0.2111 0.2111 0.4970 1
```

Largest 6 diffraction maxima, by intensity, 5° ≤ 2θ ≤ 70°:
27.77°, intensity 1000, (1 1 2); 46.09°, intensity 449, (3 1 2); 25.26°, intensity 435, (2 0 0); 36.03°, intensity 314, (2 2 0); 57.35°, intensity 154, (2 2 4); 50.57°, intensity 132, (2 0 4)